Structure and simulated powder diffraction line list of Al3Si2H3O10 (a cell relaxed with GGA-PBE; Cu Kα).
Peak positions follow from Bragg's law for the DFT cell and can differ from measured ones.

Peak list (10 most intense, 10 to 90 degrees two-theta, by angle)
2θ 12.54, d = 7.058 Å, rel. 52, hkl 0 0 1; 2θ 26.64, d = 3.346 Å, rel. 53, hkl 1 -1 1; 2θ 26.93, d = 3.311 Å, rel. 100, hkl 0 2 0; 2θ 31.49, d = 2.841 Å, rel. 78, hkl 2 0 1; 2θ 31.74, d = 2.819 Å, rel. 49, hkl 2 0 -1; 2θ 36.16, d = 2.484 Å, rel. 63, hkl 0 2 3; 2θ 44.84, d = 2.021 Å, rel. 31, hkl 0 2 -2; 2θ 45.52, d = 1.993 Å, rel. 31, hkl 3 1 1; 2θ 45.91, d = 1.977 Å, rel. 34, hkl -1 3 3; 2θ 65.81, d = 1.419 Å, rel. 39, hkl 3 3 -1

Crystal structure
a b c (Å): 6.1886 7.3389 7.8131
angles (deg): 64.60 88.02 86.64
Space group P-1 (No. 2)
Unique sites:
1 Al 0.1544 0.1491 0.3964 [2 per cell]
2 Al 0.2839 0.2548 0.0101 [2 per cell]
3 Al 0.3440 0.3513 0.6058 [2 per cell]
4 Si 0.1357 0.7790 0.2957 [2 per cell]
5 Si 0.3726 0.7254 0.7087 [2 per cell]
6 H 0.1205 0.4993 0.1319 [2 per cell]
7 H 0.2023 0.7643 0.0160 [2 per cell]
8 H 0.3699 0.0002 0.8666 [2 per cell]
9 O 0.0654 0.2834 0.5641 [2 per cell]
10 O 0.0871 0.7455 0.1042 [2 per cell]
11 O 0.1342 0.3618 0.1536 [2 per cell]
12 O 0.1512 0.8890 0.6006 [2 per cell]
13 O 0.2033 0.0130 0.2304 [2 per cell]
14 O 0.3083 0.4882 0.7761 [2 per cell]
15 O 0.3499 0.6092 0.4034 [2 per cell]
16 O 0.3660 0.1387 0.8473 [2 per cell]
17 O 0.4231 0.7618 0.8954 [2 per cell]
18 O 0.4318 0.2148 0.4406 [2 per cell]